# 1
The following is a simulated powder XRD pattern of CaHg2Se. It was derived from DFT lattice parameters and positions (PBE), using a wavelength of 1.5418 Å.
Neutral-atom scattering factors, no anomalous dispersion.

Structural model:
```
CaHg2Se
1.0
4.0609 0.0000 0.0000
0.0024 4.0627 0.0000
1.9733 1.9550 7.8636
Ca Hg Se
1 2 1
direct
0.0000 0.0000 0.0000
0.5567 0.9316 0.3969
0.9570 0.3340 0.6027
0.4981 0.5014 0.0000
```

Peak list (8 most intense, 10° ≤ 2θ ≤ 90°, sorted by position)
d = 7.864 Å, rel. 100
d = 3.935 Å, rel. 50
d = 3.224 Å, rel. 88
d = 3.197 Å, rel. 89
d = 2.872 Å, rel. 99
d = 2.697 Å, rel. 81
d = 2.497 Å, rel. 57
d = 2.477 Å, rel. 56

# 2
The following is a simulated powder XRD pattern of LiIn2HgRh. It was derived from DFT lattice parameters and positions (PBE), using a wavelength of 1.5418 Å.
Neutral-atom scattering factors, no anomalous dispersion.

Structural model:
```
LiIn2HgRh
1.0
5.2940 0.0000 0.0000
0.0000 5.2940 0.0000
0.0000 0.0000 4.5997
Li In Hg Rh
1 2 1 1
direct
0.0000 0.0000 0.0000
0.0000 0.5000 0.5000
0.5000 0.0000 0.5000
0.0000 0.0000 0.5000
0.5000 0.5000 0.0000
```

Peak list (8 most intense, 10° ≤ 2θ ≤ 90°, sorted by position)
d = 4.600 Å, rel. 56
d = 3.472 Å, rel. 100
d = 2.647 Å, rel. 81
d = 2.300 Å, rel. 27
d = 2.294 Å, rel. 38
d = 2.105 Å, rel. 54
d = 1.872 Å, rel. 29
d = 1.735 Å, rel. 61

# 3
The following is a simulated powder XRD pattern of Sm10Y6Th. It was derived from DFT lattice parameters and positions (PBE), using a wavelength of 1.5418 Å.
Neutral-atom scattering factors, no anomalous dispersion.

Structural model:
```
Sm10Y6Th
1.0
9.7841 0.0000 0.0000
-4.8920 8.4732 0.0000
0.0000 0.0000 6.9452
Sm Y Th
10 6 1
direct
0.0000 0.2766 0.3225
0.0000 0.7234 0.6775
0.2766 0.0000 0.3225
0.2766 0.2766 0.6775
0.3333 0.6667 0.0000
0.3333 0.6667 0.5000
0.6667 0.3333 0.0000
0.6667 0.3333 0.5000
0.7234 0.0000 0.6775
0.7234 0.7234 0.3225
0.0000 0.3669 0.8141
0.0000 0.6331 0.1859
0.3669 0.0000 0.8141
0.3669 0.3669 0.1859
0.6331 0.0000 0.1859
0.6331 0.6331 0.8141
0.0000 0.0000 0.0000
```

Peak list (8 most intense, 10° ≤ 2θ ≤ 90°, sorted by position)
d = 3.617 Å, rel. 7
d = 2.908 Å, rel. 21
d = 2.829 Å, rel. 100
d = 2.000 Å, rel. 16
d = 1.872 Å, rel. 8
d = 1.636 Å, rel. 10
d = 1.632 Å, rel. 15
d = 1.487 Å, rel. 7

# 4
The following is a simulated powder XRD pattern of Nd2GaSb3Rh4. It was derived from DFT lattice parameters and positions (PBE), using a wavelength of 1.5418 Å.
Neutral-atom scattering factors, no anomalous dispersion.

Structural model:
```
Nd2GaSb3Rh4
1.0
4.4142 0.0000 0.0000
0.0000 4.4142 0.0000
0.0000 0.0000 10.6905
Nd Ga Sb Rh
2 1 3 4
direct
0.0000 0.5000 0.2417
0.5000 0.0000 0.7583
0.5000 0.5000 0.0000
0.0000 0.0000 0.0000
0.0000 0.5000 0.6361
0.5000 0.0000 0.3639
0.0000 0.0000 0.5000
0.0000 0.5000 0.8753
0.5000 0.0000 0.1247
0.5000 0.5000 0.5000
```

Peak list (8 most intense, 10° ≤ 2θ ≤ 90°, sorted by position)
d = 2.773 Å, rel. 66
d = 2.695 Å, rel. 100
d = 2.207 Å, rel. 70
d = 2.030 Å, rel. 26
d = 1.924 Å, rel. 30
d = 1.727 Å, rel. 32
d = 1.561 Å, rel. 23
d = 1.450 Å, rel. 23

# 5
The following is a simulated powder XRD pattern of TbGa4Ni2Ru. It was derived from DFT lattice parameters and positions (PBE), using a wavelength of 1.5418 Å.
Neutral-atom scattering factors, no anomalous dispersion.

Structural model:
```
TbGa4Ni2Ru
1.0
2.0525 1.1850 8.8064
-2.0525 1.1850 8.8064
0.0000 -2.3700 8.8064
Tb Ga Ni Ru
1 4 2 1
direct
0.0000 0.0000 0.0000
0.1299 0.1299 0.1299
0.4018 0.4018 0.4018
0.5982 0.5982 0.5982
0.8701 0.8701 0.8701
0.2329 0.2329 0.2329
0.7671 0.7671 0.7671
0.5000 0.5000 0.5000
```

Peak list (8 most intense, 10° ≤ 2θ ≤ 90°, sorted by position)
d = 3.433 Å, rel. 26
d = 2.950 Å, rel. 20
d = 2.420 Å, rel. 95
d = 2.120 Å, rel. 21
d = 2.053 Å, rel. 100
d = 1.990 Å, rel. 20
d = 1.565 Å, rel. 24
d = 1.245 Å, rel. 22